Starting from the GGA-PBE geometry in Alexandria, the XRD peak list of CsCd2Ag2 was calculated for a wavelength of 1.5418 Å.
No peak broadening, texture or thermal motion is included.

Peak list (10 most intense, 2θ from 10° to 80°, most intense first)
28.19 deg, 3.166 Å, intensity 100.0, (2 1 0)
28.48 deg, 3.134 Å, intensity 77.3, (2 1 2)
32.62 deg, 2.745 Å, intensity 63.1, (-1 1 1)
41.17 deg, 2.193 Å, intensity 62.0, (0 3 -1)
33.12 deg, 2.705 Å, intensity 61.4, (1 2 2)
38.77 deg, 2.323 Å, intensity 57.1, (1 2 -2)
15.17 deg, 5.841 Å, intensity 55.3, (1 1 0)
37.85 deg, 2.377 Å, intensity 40.4, (2 -1 2)
26.89 deg, 3.315 Å, intensity 35.7, (0 2 0)
23.66 deg, 3.760 Å, intensity 33.9, (1 -1 1)

Cell and atoms:
```
10
Lattice="7.131 0.000 0.000 3.450 6.697 0.000 3.499 -0.952 6.728" Properties=species:S:1:pos:R:3 pbc="T T T"
Cs 2.682 1.432 1.665
Cs 11.398 4.313 5.063
Cd 4.631 0.031 4.736
Cd 5.855 3.835 1.385
Cd 8.225 1.910 5.343
Cd 9.450 5.714 1.992
Ag 7.660 4.510 6.540
Ag 7.726 4.111 3.548
Ag 6.355 1.634 3.180
Ag 6.420 1.234 0.188
```